1.
# Cs3CrF7
Calculated powder XRD pattern, Cu Kα, 1.54184 Å. Input: DFT lattice parameters and positions (PBE+U).

Structural model:
```
data_Cs3CrF7
_chemical_formula_sum 'Cs6 Cr2 F14'
_space_group_name_H-M_alt 'P 1'
_space_group_IT_number 1
_space_group_name_Hall 'P 1'
_cell_length_a 8.5185
_cell_length_b 8.5185
_cell_length_c 6.3751
_cell_angle_alpha 90.00
_cell_angle_beta 90.00
_cell_angle_gamma 90.00
loop_
_atom_site_label
_atom_site_type_symbol
_atom_site_fract_x
_atom_site_fract_y
_atom_site_fract_z
_atom_site_occupancy
Cs1 Cs 0.0000 0.0000 0.0000 1
Cs2 Cs 0.1933 0.3067 0.5000 1
Cs3 Cs 0.3067 0.8067 0.5000 1
Cs4 Cs 0.5000 0.5000 0.0000 1
Cs5 Cs 0.6933 0.1933 0.5000 1
Cs6 Cs 0.8067 0.6933 0.5000 1
Cr1 Cr 0.0000 0.5000 0.0000 1
Cr2 Cr 0.5000 0.0000 0.0000 1
F1 F 0.0000 0.0000 0.5000 1
F2 F 0.1087 0.6087 0.2107 1
F3 F 0.1087 0.6087 0.7893 1
F4 F 0.1538 0.3462 0.0000 1
F5 F 0.3462 0.8462 0.0000 1
F6 F 0.3913 0.1087 0.2107 1
F7 F 0.3913 0.1087 0.7893 1
F8 F 0.5000 0.5000 0.5000 1
F9 F 0.6087 0.8913 0.2107 1
F10 F 0.6087 0.8913 0.7893 1
F11 F 0.6538 0.1538 0.0000 1
F12 F 0.8462 0.6538 0.0000 1
F13 F 0.8913 0.3913 0.2107 1
F14 F 0.8913 0.3913 0.7893 1
```

Peak list (10 most intense, 2θ from 10° to 90°, by angle)
3.810 Å, intensity 19, hkl 2 1 0; 3.542 Å, intensity 100, hkl 2 0 1; 3.270 Å, intensity 26, hkl 2 1 1; 3.188 Å, intensity 29, hkl 0 0 2; 3.012 Å, intensity 35, hkl 2 2 0; 2.694 Å, intensity 20, hkl 3 1 0; 2.445 Å, intensity 32, hkl 2 1 2; 2.189 Å, intensity 27, hkl 2 2 2; 1.965 Å, intensity 14, hkl 4 1 1; 1.902 Å, intensity 20, hkl 2 0 3

2.
# Li9Mn2Co5O16
Calculated powder XRD pattern, Cu Kα, 1.54184 Å. Input: DFT lattice parameters and positions (PBE+U).

Structural model:
```
data_Li9Mn2Co5O16
_chemical_formula_sum 'Li9 Mn2 Co5 O16'
_space_group_name_H-M_alt 'P 1'
_space_group_IT_number 1
_space_group_name_Hall 'P 1'
_cell_length_a 3.0106
_cell_length_b 9.8782
_cell_length_c 9.9616
_cell_angle_alpha 78.05
_cell_angle_beta 87.84
_cell_angle_gamma 87.65
loop_
_atom_site_label
_atom_site_type_symbol
_atom_site_fract_x
_atom_site_fract_y
_atom_site_fract_z
_atom_site_occupancy
Li1 Li 0.0000 0.0000 0.0000 1
Li2 Li 0.9996 0.4909 0.7536 1
Li3 Li 0.4913 0.4922 0.5016 1
Li4 Li 0.4953 0.4880 0.0028 1
Li5 Li 0.4983 0.0036 0.2485 1
Li6 Li 0.5012 0.9963 0.7538 1
Li7 Li 0.9905 0.4897 0.2549 1
Li8 Li 0.9948 0.0005 0.4995 1
Li9 Li 0.9965 0.2454 0.1267 1
Mn1 Mn 0.5016 0.7453 0.6296 1
Mn2 Mn 0.9878 0.7469 0.3742 1
Co1 Co 0.0033 0.7431 0.8786 1
Co2 Co 0.4862 0.7439 0.1231 1
Co3 Co 0.4960 0.2442 0.3676 1
Co4 Co 0.4968 0.2459 0.8858 1
Co5 Co 0.9963 0.2448 0.6271 1
O1 O 0.0023 0.6297 0.0586 1
O2 O 0.0184 0.3595 0.9348 1
O3 O 0.0266 0.3592 0.4481 1
O4 O 0.0313 0.8601 0.6987 1
O5 O 0.4598 0.6306 0.3065 1
O6 O 0.4807 0.6323 0.8146 1
O7 O 0.4878 0.3552 0.6998 1
O8 O 0.4947 0.1297 0.0434 1
O9 O 0.4977 0.3607 0.2100 1
O10 O 0.5047 0.1345 0.5543 1
O11 O 0.5224 0.8619 0.4444 1
O12 O 0.5330 0.8575 0.9423 1
O13 O 0.9649 0.1309 0.8059 1
O14 O 0.9658 0.6276 0.5607 1
O15 O 0.9757 0.1308 0.3187 1
O16 O 0.9835 0.8626 0.1907 1
```

Peak list (10 most intense, 2θ from 10° to 90°, by angle)
4.829 Å, intensity 100, hkl 0 2 0; 2.596 Å, intensity 20, hkl 1 1 2; 2.491 Å, intensity 14, hkl -1 1 2; 2.435 Å, intensity 11, hkl 0 0 4; 2.172 Å, intensity 34, hkl 1 3 2; 2.067 Å, intensity 28, hkl -1 3 2; 2.014 Å, intensity 25, hkl 0 2 -4; 1.503 Å, intensity 8, hkl 2 0 0; 1.492 Å, intensity 8, hkl 0 6 4; 1.430 Å, intensity 9, hkl -1 1 6

3.
# Na4MgNi4O10
Calculated powder XRD pattern, Cu Kα, 1.54184 Å. Input: DFT lattice parameters and positions (PBE+U).

Structural model:
```
data_Na4MgNi4O10
_chemical_formula_sum 'Na4 Mg1 Ni4 O10'
_space_group_name_H-M_alt 'P 1'
_space_group_IT_number 1
_space_group_name_Hall 'P 1'
_cell_length_a 5.0220
_cell_length_b 6.3667
_cell_length_c 7.0402
_cell_angle_alpha 109.57
_cell_angle_beta 96.47
_cell_angle_gamma 104.42
loop_
_atom_site_label
_atom_site_type_symbol
_atom_site_fract_x
_atom_site_fract_y
_atom_site_fract_z
_atom_site_occupancy
Na1 Na 0.0000 0.0000 0.0000 1
Na2 Na 0.2001 0.4313 0.4402 1
Na3 Na 0.5878 0.1930 0.2015 1
Na4 Na 0.7926 0.6267 0.6295 1
Mg1 Mg 0.3994 0.3140 0.8147 1
Ni1 Ni 0.1953 0.9122 0.4141 1
Ni2 Ni 0.5954 0.7093 0.2161 1
Ni3 Ni 0.7960 0.1191 0.6141 1
Ni4 Ni 0.9949 0.5113 0.0205 1
O1 O 0.0769 0.4439 0.7553 1
O2 O 0.0875 0.9929 0.6738 1
O3 O 0.2874 0.8172 0.1462 1
O4 O 0.3001 0.4118 0.1099 1
O5 O 0.5057 0.7965 0.4816 1
O6 O 0.5089 0.2371 0.5320 1
O7 O 0.7080 0.6351 0.9585 1
O8 O 0.7355 0.2135 0.9101 1
O9 O 0.8806 0.0092 0.3213 1
O10 O 0.8808 0.5821 0.2814 1
```

Peak list (10 most intense, 2θ from 10° to 90°, by angle)
6.479 Å, intensity 10, hkl 0 0 1; 5.415 Å, intensity 100, hkl 0 1 -1; 2.708 Å, intensity 18, hkl 0 2 -2; 2.443 Å, intensity 10, hkl 1 0 2; 2.406 Å, intensity 19, hkl 2 0 -1; 2.171 Å, intensity 37, hkl 1 2 0; 2.147 Å, intensity 35, hkl 1 0 -3; 2.129 Å, intensity 34, hkl 2 -2 1; 1.590 Å, intensity 9, hkl 1 -2 4; 1.584 Å, intensity 10, hkl 2 2 -3